Structure and theoretical powder XRD pattern of Dy12Cu6Sb (a GGA-PBE-relaxed structure; λ = 1.5418 Å (Cu Kα)).
Peak positions follow from Bragg's law for the DFT cell and can differ from measured ones.

Cell lengths 9.8656, 9.8656, 9.8656 Å; angles 90.00, 90.00, 90.00 degrees
Space group Im-3 (No. 204)
Symmetry-distinct sites (fractional):
Dy1 0.0000 0.1885 0.3010 (multiplicity 24)
Cu1 0.0000 0.3762 0.5000 (multiplicity 12)
Sb1 0.0000 0.0000 0.0000 (multiplicity 2)

Peak list (8 most intense, 2θ from 10° to 90°, by angle)
| d [Å] | 2θ/deg | intensity | (hkl) |
| --- | --- | --- | --- |
| 3.120 | 28.6 | 38 | 3 1 0 |
| 2.848 | 31.4 | 42 | 2 2 2 |
| 2.637 | 34.0 | 100 | 3 2 1 |
| 2.466 | 36.4 | 17 | 4 0 0 |
| 1.935 | 47.0 | 19 | 5 1 0 |
| 1.692 | 54.2 | 34 | 5 0 3 |
| 1.600 | 57.6 | 35 | 5 3 2 |
| 1.395 | 67.1 | 18 | 5 4 3 |